SiAg2Te5: computed powder X-ray diffraction pattern (copper Kα), based on a PBE-relaxed structure.

Most intense lines, 2θ = 5–70°, by intensity:
hkl 2 2 0, 30.5 deg, intensity 100.0; hkl 2 0 -2, 27.7 deg, intensity 65.1; hkl 0 2 2, 41.3 deg, intensity 42.0; hkl 4 2 -2, 42.0 deg, intensity 39.9; hkl 4 0 0, 43.6 deg, intensity 35.3; hkl 2 4 -2, 52.5 deg, intensity 19.5; hkl 4 4 0, 63.4 deg, intensity 10.2; hkl 2 0 2, 51.9 deg, intensity 10.1; hkl 2 2 -4, 65.8 deg, intensity 9.6; hkl 6 0 -2, 53.0 deg, intensity 9.4

Atomic structure:
```
data_SiAg2Te5
_cell_length_a 10.3945
_cell_length_b 8.3021
_cell_length_c 6.4321
_cell_angle_alpha 90.00
_cell_angle_beta 127.01
_cell_angle_gamma 90.00
_space_group_name_H-M_alt 'C 1 m 1'
_space_group_IT_number 8
loop_
_space_group_symop_operation_xyz
'x,y,z'
'x,-y,z'
'x+1/2,y+1/2,z'
'x+1/2,-y+1/2,z'
loop_
_atom_site_label
_atom_site_fract_x
_atom_site_fract_y
_atom_site_fract_z
Si1 0.0000 0.0000 0.0000
Ag1 0.4992 0.0000 0.0721
Ag2 0.4993 0.0000 0.5722
Te1 0.2329 0.2335 0.3049
Te2 0.2660 0.2667 0.8373
Te3 0.4994 0.5000 0.5820
```

***

Tl5Br4Cl: computed powder X-ray diffraction pattern (copper Kα), based on a PBE-relaxed structure.

Most intense lines, 2θ = 5–70°, by intensity:
hkl 1 1 0, 26.6 deg, intensity 100.0; hkl 2 0 0, 38.0 deg, intensity 78.1; hkl 1 0 5, 23.0 deg, intensity 39.3; hkl 2 0 10, 47.0 deg, intensity 28.6; hkl 3 1 10, 68.6 deg, intensity 27.4; hkl 3 1 0, 61.9 deg, intensity 25.2; hkl 2 1 5, 44.9 deg, intensity 21.7; hkl 1 1 20, 62.0 deg, intensity 12.1; hkl 3 0 5, 60.2 deg, intensity 9.3; hkl 2 2 0, 54.8 deg, intensity 9.1

Atomic structure:
```
data_Tl5Br4Cl
_cell_length_a 4.7419
_cell_length_b 4.7419
_cell_length_c 33.4694
_cell_angle_alpha 90.00
_cell_angle_beta 90.00
_cell_angle_gamma 90.00
_space_group_name_H-M_alt 'I 4/m m m'
_space_group_IT_number 139
_space_group_name_Hall '-I 4 2'
loop_
_atom_site_label
_atom_site_fract_x
_atom_site_fract_y
_atom_site_fract_z
Tl1 0.0000 0.0000 0.0000
Tl2 0.0000 0.0000 0.2001
Tl3 0.0000 0.0000 0.4027
Br1 0.0000 0.0000 0.0995
Br2 0.0000 0.0000 0.3012
Cl1 0.0000 0.0000 0.5000
```